Diffraction record for V4As2O13. The XRD peak list is simulated, not measured: it uses a cell relaxed with PBE+U and Cu Kα X-rays.

a b c (Å): 5.059 5.068 8.963
angles (deg): 89.71 79.67 80.32
Space group P1 (No. 1)
Inequivalent atoms, fractional coordinates:
1 V 0.000 0.000 0.000 (multiplicity 1)
2 V 0.127 0.293 0.357 (multiplicity 1)
3 V 0.290 0.494 0.744 (multiplicity 1)
4 V 0.460 0.723 0.419 (multiplicity 1)
5 As 0.553 0.544 0.059 (multiplicity 1)
6 As 0.793 0.974 0.647 (multiplicity 1)
7 O 0.024 0.973 0.479 (multiplicity 1)
8 O 0.087 0.112 0.159 (multiplicity 1)
9 O 0.149 0.257 0.847 (multiplicity 1)
10 O 0.253 0.467 0.529 (multiplicity 1)
11 O 0.343 0.557 0.240 (multiplicity 1)
12 O 0.354 0.700 0.933 (multiplicity 1)
13 O 0.474 0.031 0.338 (multiplicity 1)
14 O 0.527 0.809 0.625 (multiplicity 1)
15 O 0.640 0.213 0.012 (multiplicity 1)
16 O 0.668 0.297 0.701 (multiplicity 1)
17 O 0.807 0.491 0.377 (multiplicity 1)
18 O 0.820 0.694 0.077 (multiplicity 1)
19 O 0.967 0.810 0.780 (multiplicity 1)

Peak list (10 most intense, 5 to 70 degrees two-theta, by intensity)
26.4°, I = 100, (1 1 -1); 27.6°, I = 83, (1 -1 0); 28.9°, I = 75, (1 1 2); 30.4°, I = 52, (0 0 3); 64.5°, I = 29, (3 0 4); 24.6°, I = 28, (1 0 2); 51.9°, I = 26, (2 1 4); 30.7°, I = 25, (-1 1 1); 29.6°, I = 25, (1 0 -2); 23.2°, I = 24, (1 1 0)

---

Diffraction record for FeOF. The XRD peak list is simulated, not measured: it uses a cell relaxed with PBE+U and Cu Kα X-rays.

a b c (Å): 3.082 4.706 4.739
angles (deg): 90.00 90.00 90.00
Space group Pmn2_1 (No. 31)
Inequivalent atoms, fractional coordinates:
1 Fe 0.000 0.208 0.000 (multiplicity 2)
2 O 0.000 0.946 0.694 (multiplicity 2)
3 F 0.000 0.553 0.300 (multiplicity 2)

Peak list (10 most intense, 5 to 70 degrees two-theta, by intensity)
26.7°, I = 100, (0 1 1); 34.8°, I = 56, (1 0 1); 52.5°, I = 32, (1 1 2); 52.6°, I = 26, (1 2 1); 39.8°, I = 22, (1 1 1); 66.9°, I = 20, (1 3 0); 55.0°, I = 16, (0 2 2); 66.5°, I = 12, (1 0 3); 60.0°, I = 10, (2 0 0); 42.9°, I = 9, (0 2 1)

---

Diffraction record for Li2FeBO4. The XRD peak list is simulated, not measured: it uses a cell relaxed with PBE+U and Cu Kα X-rays.

a b c (Å): 6.994 7.251 6.172
angles (deg): 90.00 90.00 90.00
Space group C222_1 (No. 20)
Inequivalent atoms, fractional coordinates:
1 Li 0.000 0.195 0.250 (multiplicity 4)
2 Li 0.174 0.500 0.500 (multiplicity 4)
3 Fe 0.000 0.184 0.750 (multiplicity 4)
4 B 0.181 0.500 0.000 (multiplicity 4)
5 O 0.053 0.334 0.992 (multiplicity 8)
6 O 0.200 0.007 0.701 (multiplicity 8)

Peak list (10 most intense, 5 to 70 degrees two-theta, by intensity)
22.8°, I = 100, (1 1 1); 35.7°, I = 43, (2 2 0); 34.1°, I = 35, (1 1 2); 49.7°, I = 21, (1 3 2); 63.1°, I = 19, (3 3 2); 25.5°, I = 19, (2 0 0); 28.6°, I = 16, (0 2 1); 43.3°, I = 14, (3 1 1); 38.6°, I = 13, (2 2 1); 47.8°, I = 10, (1 1 3)

---

Diffraction record for SrFe2P2O8. The XRD peak list is simulated, not measured: it uses a cell relaxed with PBE+U and Cu Kα X-rays.

a b c (Å): 9.532 6.960 10.696
angles (deg): 90.00 109.79 90.00
Space group P2_1/c (No. 14)
Inequivalent atoms, fractional coordinates:
1 Sr 0.195 0.120 0.482 (multiplicity 4)
2 Fe 0.212 0.607 0.667 (multiplicity 4)
3 Fe 0.421 0.652 0.382 (multiplicity 4)
4 P 0.078 0.645 0.380 (multiplicity 4)
5 P 0.465 0.174 0.327 (multiplicity 4)
6 O 0.051 0.686 0.964 (multiplicity 4)
7 O 0.068 0.080 0.226 (multiplicity 4)
8 O 0.155 0.017 0.981 (multiplicity 4)
9 O 0.193 0.697 0.310 (multiplicity 4)
10 O 0.365 0.653 0.145 (multiplicity 4)
11 O 0.389 0.508 0.859 (multiplicity 4)
12 O 0.393 0.213 0.176 (multiplicity 4)
13 O 0.438 0.156 0.914 (multiplicity 4)

Peak list (10 most intense, 5 to 70 degrees two-theta, by intensity)
29.9°, I = 100, (1 2 1); 31.9°, I = 91, (2 2 -1); 29.1°, I = 58, (3 0 -2); 40.4°, I = 38, (1 0 4); 29.6°, I = 34, (0 1 3); 46.4°, I = 31, (4 2 -1); 26.4°, I = 28, (1 1 2); 27.8°, I = 26, (1 2 -1); 22.7°, I = 24, (2 1 -1); 36.0°, I = 24, (1 1 -4)

---

Diffraction record for SrMg6CrO8. The XRD peak list is simulated, not measured: it uses a cell relaxed with PBE+U and Cu Kα X-rays.

a b c (Å): 4.540 4.540 8.635
angles (deg): 90.00 90.00 90.00
Space group P4/mmm (No. 123)
Inequivalent atoms, fractional coordinates:
1 Sr 0.000 0.000 0.000 (multiplicity 1)
2 Mg 0.000 0.000 0.500 (multiplicity 1)
3 Mg 0.000 0.500 0.259 (multiplicity 4)
4 Mg 0.500 0.500 0.500 (multiplicity 1)
5 Cr 0.500 0.500 0.000 (multiplicity 1)
6 O 0.000 0.000 0.274 (multiplicity 2)
7 O 0.000 0.500 0.000 (multiplicity 2)
8 O 0.000 0.500 0.500 (multiplicity 2)
9 O 0.500 0.500 0.252 (multiplicity 2)

Peak list (10 most intense, 5 to 70 degrees two-theta, by intensity)
39.7°, I = 100, (2 0 0); 59.0°, I = 52, (2 0 4); 10.2°, I = 44, (0 0 1); 34.8°, I = 43, (1 1 2); 41.8°, I = 41, (0 0 4); 57.4°, I = 30, (2 2 0); 29.7°, I = 21, (1 1 1); 68.9°, I = 15, (3 1 2); 20.6°, I = 13, (0 0 2); 27.8°, I = 12, (1 1 0)

---

Diffraction record for Li7Mn5O12. The XRD peak list is simulated, not measured: it uses a cell relaxed with PBE+U and Cu Kα X-rays.

a b c (Å): 6.499 6.903 10.397
angles (deg): 91.56 107.48 95.61
Space group P-1 (No. 2)
Inequivalent atoms, fractional coordinates:
1 Li 0.041 0.031 0.367 (multiplicity 2)
2 Li 0.131 0.141 0.128 (multiplicity 2)
3 Li 0.191 0.207 0.866 (multiplicity 2)
4 Li 0.249 0.751 0.251 (multiplicity 2)
5 Li 0.297 0.280 0.623 (multiplicity 2)
6 Li 0.371 0.361 0.373 (multiplicity 2)
7 Li 0.451 0.453 0.127 (multiplicity 2)
8 Mn 0.000 0.500 0.000 (multiplicity 1)
9 Mn 0.077 0.572 0.748 (multiplicity 2)
10 Mn 0.164 0.677 0.499 (multiplicity 2)
11 Mn 0.330 0.832 0.000 (multiplicity 2)
12 Mn 0.419 0.926 0.753 (multiplicity 2)
13 Mn 0.500 0.000 0.500 (multiplicity 1)
14 O 0.016 0.272 0.674 (multiplicity 2)
15 O 0.067 0.781 0.050 (multiplicity 2)
16 O 0.087 0.354 0.429 (multiplicity 2)
17 O 0.168 0.901 0.818 (multiplicity 2)
18 O 0.171 0.442 0.180 (multiplicity 2)
19 O 0.247 0.512 0.931 (multiplicity 2)
20 O 0.257 0.990 0.572 (multiplicity 2)
21 O 0.337 0.062 0.318 (multiplicity 2)
22 O 0.342 0.638 0.690 (multiplicity 2)
23 O 0.418 0.147 0.073 (multiplicity 2)
24 O 0.432 0.720 0.448 (multiplicity 2)
25 O 0.483 0.197 0.817 (multiplicity 2)

Peak list (10 most intense, 5 to 70 degrees two-theta, by intensity)
18.3°, I = 100, (1 -1 0); 44.3°, I = 55, (3 0 -3); 41.1°, I = 34, (0 3 1); 36.3°, I = 23, (2 1 -3); 62.0°, I = 16, (3 3 -2); 61.9°, I = 16, (1 2 5); 34.2°, I = 16, (1 2 1); 47.0°, I = 9, (-2 2 4); 63.8°, I = 8, (4 -1 1); 64.9°, I = 7, (2 1 -7)